(1)
The following is a simulated powder X-ray diffraction pattern of LuSc2Cu4Si2Ge2. It was derived from a structure optimized by DFT (PBE), using λ = 1.5418 Å (Cu Kα).
No peak broadening, texture or thermal motion is included.

Most intense lines, 2θ = 10–90°, sorted by position:
2θ/deg  I (rel.)
29.42  46.7
36.05  100.0
37.75  64.6
45.44  35.2
46.23  41.1
49.62  37.5

Cell and atoms:
```
11
Lattice="-1.996 3.284 6.662 1.996 -3.284 6.662 1.996 3.284 -6.662" Properties=species:S:1:pos:R:3 pbc="T T T"
Lu 0.000 0.000 0.000
Sc 1.996 0.000 4.970
Sc 0.000 3.284 1.692
Cu 1.996 1.267 -2.349
Cu 1.996 1.267 2.349
Cu 0.000 2.018 4.313
Cu 0.000 2.018 9.010
Si 0.000 0.000 2.930
Si 0.000 0.000 10.394
Ge 1.996 2.034 0.000
Ge 0.000 1.250 6.662
```


(2)
The following is a simulated powder X-ray diffraction pattern of Sr2TaIrN4O2. It was derived from a structure optimized by DFT (PBE), using λ = 1.5418 Å (Cu Kα).
No peak broadening, texture or thermal motion is included.

Most intense lines, 2θ = 10–90°, sorted by position:
2θ/deg  I (rel.)
22.29  22.2
31.62  100.0
31.73  50.3
45.49  27.0
56.24  19.0
56.45  34.8

Cell and atoms:
```
20
Lattice="5.639 0.000 0.000 -0.011 5.640 0.000 -0.011 -0.002 8.032" Properties=species:S:1:pos:R:3 pbc="T T T"
Sr 0.000 0.000 0.000
Sr -0.009 5.616 3.997
Sr 2.768 2.792 8.018
Sr 2.784 2.768 3.977
Ta 2.785 5.626 1.956
Ta 5.587 2.800 6.110
Ir 2.839 5.533 5.870
Ir 5.592 2.812 2.121
N 0.019 2.867 0.012
N 1.329 4.193 2.090
N 1.372 1.422 1.964
N 2.818 0.052 4.010
N 4.193 4.175 2.034
N 4.235 1.404 1.901
N 4.266 4.283 5.973
N 5.543 2.675 4.023
O 1.261 1.199 6.034
O 1.519 4.032 5.835
O 2.687 5.473 7.949
O 4.076 1.425 6.121
```


(3)
The following is a simulated powder X-ray diffraction pattern of TlFeI4. It was derived from a structure optimized by DFT (PBE), using λ = 1.5418 Å (Cu Kα).
No peak broadening, texture or thermal motion is included.

Most intense lines, 2θ = 10–90°, sorted by position:
2θ/deg  I (rel.)
20.69  66.9
26.02  52.9
26.85  58.7
27.36  65.3
27.98  100.0
30.59  61.3

Cell and atoms:
```
24
Lattice="8.234 0.000 0.000 0.000 11.219 0.000 0.000 0.000 11.297" Properties=species:S:1:pos:R:3 pbc="T T T"
Tl 1.288 2.805 2.824
Tl 2.829 8.414 2.824
Tl 5.406 2.805 8.473
Tl 6.946 8.414 8.473
Fe 2.059 0.000 7.687
Fe 2.059 5.609 9.258
Fe 6.176 0.000 3.610
Fe 6.176 5.609 2.038
I 0.027 0.468 9.180
I 0.027 5.141 7.766
I 1.437 7.624 10.682
I 1.437 9.204 6.263
I 2.681 2.014 6.263
I 2.681 3.595 10.682
I 4.091 6.078 7.766
I 4.091 10.750 9.180
I 4.144 0.468 2.117
I 4.144 5.141 3.531
I 5.554 7.624 0.615
I 5.554 9.204 5.034
I 6.798 2.014 5.034
I 6.798 3.595 0.615
I 8.208 6.078 3.531
I 8.208 10.750 2.117
```


(4)
The following is a simulated powder X-ray diffraction pattern of Ta8Fe2C3N3. It was derived from a structure optimized by DFT (PBE), using λ = 1.5418 Å (Cu Kα).
No peak broadening, texture or thermal motion is included.

Most intense lines, 2θ = 10–90°, sorted by position:
2θ/deg  I (rel.)
30.77  27.0
34.28  48.7
38.73  81.8
40.89  100.0
59.65  42.5
73.42  29.3

Cell and atoms:
```
16
Lattice="3.100 0.000 0.000 -1.550 2.685 0.000 0.000 0.000 23.245" Properties=species:S:1:pos:R:3 pbc="T T T"
Ta 0.000 0.000 3.880
Ta 0.000 0.000 7.738
Ta 0.000 0.000 15.507
Ta 0.000 0.000 19.365
Ta 0.000 1.790 1.338
Ta 0.000 1.790 10.312
Ta 1.550 0.895 12.933
Ta 1.550 0.895 21.907
Fe 0.000 1.790 5.898
Fe 1.550 0.895 17.347
C 0.000 0.000 0.000
C 0.000 1.790 20.596
C 1.550 0.895 2.649
N 0.000 0.000 11.622
N 0.000 1.790 14.230
N 1.550 0.895 9.015
```


(5)
The following is a simulated powder X-ray diffraction pattern of Cu7Ag2. It was derived from a structure optimized by DFT (PBE), using λ = 1.5418 Å (Cu Kα).
No peak broadening, texture or thermal motion is included.

Most intense lines, 2θ = 10–90°, sorted by position:
2θ/deg  I (rel.)
41.53  100.0
41.71  48.8
42.25  47.2
47.86  65.6
50.04  26.3
71.37  16.6

Cell and atoms:
```
9
Lattice="6.817 -1.355 0.000 6.817 1.355 0.000 -4.312 0.000 6.417" Properties=species:S:1:pos:R:3 pbc="T T T"
Cu 0.000 0.000 0.000
Cu 1.502 0.000 2.159
Cu 0.339 0.000 6.350
Cu 3.103 0.000 4.370
Cu 6.220 0.000 2.048
Cu 8.984 0.000 0.067
Cu 7.821 0.000 4.258
Ag -1.326 0.000 4.316
Ag 10.648 0.000 2.101
```


(6)
The following is a simulated powder X-ray diffraction pattern of BaAu. It was derived from a structure optimized by DFT (PBE), using λ = 1.5418 Å (Cu Kα).
No peak broadening, texture or thermal motion is included.

Most intense lines, 2θ = 10–90°, sorted by position:
2θ/deg  I (rel.)
17.22  29.3
27.71  43.7
29.47  28.2
31.01  68.1
34.68  100.0
36.17  32.0

Cell and atoms:
```
8
Lattice="8.455 0.000 0.000 0.000 4.967 0.000 0.000 0.000 6.493" Properties=species:S:1:pos:R:3 pbc="T T T"
Ba 1.543 1.242 0.881
Ba 2.684 3.725 4.127
Ba 5.771 1.242 2.365
Ba 6.911 3.725 5.612
Au 0.332 1.242 4.121
Au 3.895 3.725 0.875
Au 4.559 1.242 5.618
Au 8.123 3.725 2.372
```


(7)
The following is a simulated powder X-ray diffraction pattern of Cu4Ag. It was derived from a structure optimized by DFT (PBE), using λ = 1.5418 Å (Cu Kα).
No peak broadening, texture or thermal motion is included.

Most intense lines, 2θ = 10–90°, sorted by position:
2θ/deg  I (rel.)
41.71  100.0
41.87  50.2
42.09  49.3
48.55  63.1
49.02  30.0
71.04  17.7

Cell and atoms:
```
20
Lattice="4.568 0.000 0.000 -2.208 6.599 0.000 -1.513 -2.677 8.673" Properties=species:S:1:pos:R:3 pbc="T T T"
Cu 0.000 0.000 0.000
Cu -2.169 1.232 6.324
Cu -0.697 -1.296 4.281
Cu -1.391 2.577 2.242
Cu -0.694 -0.821 6.819
Cu -1.414 3.129 4.687
Cu 0.108 0.440 2.594
Cu 0.073 0.998 5.042
Cu -1.438 3.747 7.366
Cu -0.615 4.986 3.105
Cu 1.528 -1.036 5.570
Cu 0.880 2.865 3.430
Cu 2.451 0.232 1.340
Cu 2.363 0.756 3.839
Cu 1.669 -0.643 8.109
Cu 1.652 4.751 1.853
Ag -0.681 4.508 0.481
Ag 0.916 2.275 0.864
Ag 0.096 1.516 7.686
Ag 0.877 3.451 5.981
```


(8)
The following is a simulated powder X-ray diffraction pattern of GdHoFe2Ge2C. It was derived from a structure optimized by DFT (PBE), using λ = 1.5418 Å (Cu Kα).
No peak broadening, texture or thermal motion is included.

Most intense lines, 2θ = 10–90°, sorted by position:
2θ/deg  I (rel.)
33.59  87.5
33.88  63.0
36.12  100.0
36.39  50.4
39.48  62.8
45.59  48.4

Cell and atoms:
```
14
Lattice="10.718 0.000 0.000 0.000 3.980 0.000 -4.283 0.000 5.338" Properties=species:S:1:pos:R:3 pbc="T T T"
Gd 0.000 0.000 0.000
Gd 5.359 1.990 0.000
Ho -1.243 0.000 3.088
Ho 4.116 1.990 3.088
Fe 1.097 1.990 2.031
Fe 3.026 0.000 1.081
Fe 6.456 0.000 2.031
Fe 8.385 1.990 1.081
Ge 2.370 1.990 0.006
Ge 1.750 0.000 3.091
Ge 7.729 0.000 0.006
Ge 7.109 1.990 3.091
C -0.622 1.990 1.570
C 4.737 0.000 1.570
```


(9)
The following is a simulated powder X-ray diffraction pattern of Nd2HoCu4Sn4. It was derived from a structure optimized by DFT (PBE), using λ = 1.5418 Å (Cu Kα).
No peak broadening, texture or thermal motion is included.

Most intense lines, 2θ = 10–90°, sorted by position:
2θ/deg  I (rel.)
32.57  28.7
33.01  100.0
33.53  95.4
39.42  44.9
43.20  21.3
44.65  25.6

Cell and atoms:
```
11
Lattice="-2.286 3.460 7.489 2.286 -3.460 7.489 2.286 3.460 -7.489" Properties=species:S:1:pos:R:3 pbc="T T T"
Nd 0.000 0.000 1.981
Nd 0.000 0.000 12.997
Ho 0.000 3.460 0.000
Cu 2.286 2.174 -2.532
Cu 2.286 2.174 2.532
Cu 0.000 1.287 4.957
Cu 0.000 1.287 10.021
Sn 2.286 1.430 0.000
Sn 2.286 0.000 4.281
Sn 0.000 3.460 3.208
Sn 0.000 2.030 7.489
```